The following is a simulated PXRD pattern of CsZnSb. It was derived from a GGA-PBE-relaxed structure, using Cu Kα X-rays.
Lines closer than 0.1° are merged.

Structure:
```
CsZnSb
1.0
2.2697 -7.5960 0.0000
2.2697 7.5960 0.0000
0.0000 0.0000 6.4614
Cs Zn Sb
2 2 2
direct
0.0730 0.9270 0.5000
0.9270 0.0730 0.0000
0.2289 0.7711 0.0936
0.7711 0.2289 0.5936
0.3362 0.6638 0.4348
0.6638 0.3362 0.9348
```

Principal peaks in the range 2θ = 5–70°, sorted by position:
2θ 24.67, I 636; 2θ 27.24, I 1000; 2θ 27.61, I 455; 2θ 29.83, I 941; 2θ 38.55, I 286; 2θ 39.71, I 305; 2θ 47.08, I 280; 2θ 48.82, I 394